Record 1
For Nd2Ho7Tm3, a structure optimized by DFT (PBE) gives the theoretical powder diffraction line list in this record (Cu Kα X-rays).

Crystal structure
a b c (Å): 6.3008 3.4982 17.3389
angles (deg): 90.00 96.22 90.00
Atoms (fractional coordinates):
Nd  0.0604  0.0000  0.1733
Nd  0.9396  0.0000  0.8267
Ho  0.0000  0.5000  0.5000
Ho  0.2290  0.0000  0.6670
Ho  0.2567  0.0000  0.9986
Ho  0.2751  0.5000  0.3375
Ho  0.7249  0.5000  0.6625
Ho  0.7433  0.0000  0.0014
Ho  0.7710  0.0000  0.3330
Tm  0.4515  0.5000  0.8430
Tm  0.5000  0.0000  0.5000
Tm  0.5485  0.5000  0.1570

Peak list (8 most intense, 5 to 70 degrees two-theta, low angle first)
- d 2.981, 29.97°, I = 60
- d 2.884, 31.01°, I = 82
- d 2.873, 31.13°, I = 94
- d 2.832, 31.59°, I = 100
- d 2.633, 34.05°, I = 65
- d 2.556, 35.11°, I = 79
- d 1.801, 50.70°, I = 37
- d 1.719, 53.30°, I = 37

---

Record 2
For Pm2Cd6Hg3, a structure optimized by DFT (PBE) gives the theoretical powder diffraction line list in this record (Cu Kα X-rays).

Crystal structure
a b c (Å): 8.3567 8.3567 4.5998
angles (deg): 90.00 90.00 120.00
Atoms (fractional coordinates):
Pm  0.3333  0.6667  0.0000
Pm  0.6667  0.3333  0.0000
Cd  0.0000  0.2580  0.5000
Cd  0.0000  0.7953  0.0000
Cd  0.2047  0.2047  0.0000
Cd  0.2580  0.0000  0.5000
Cd  0.7420  0.7420  0.5000
Cd  0.7953  0.0000  0.0000
Hg  0.0000  0.5872  0.5000
Hg  0.4128  0.4128  0.5000
Hg  0.5872  0.0000  0.5000

Peak list (8 most intense, 5 to 70 degrees two-theta, low angle first)
- d 4.178, 21.26°, I = 20
- d 3.093, 28.87°, I = 77
- d 2.844, 31.46°, I = 37
- d 2.735, 32.74°, I = 38
- d 2.351, 38.28°, I = 100
- d 2.300, 39.17°, I = 35
- d 2.007, 45.17°, I = 27
- d 1.512, 61.30°, I = 22

---

Record 3
For K3Zn2Sb2, a structure optimized by DFT (PBE) gives the theoretical powder diffraction line list in this record (Cu Kα X-rays).

Crystal structure
a b c (Å): 6.6467 9.7184 14.4434
angles (deg): 90.00 90.00 90.00
Atoms (fractional coordinates):
K  0.1135  0.1382  0.1086
K  0.1135  0.1382  0.3914
K  0.1135  0.3618  0.6086
K  0.1135  0.3618  0.8914
K  0.3281  0.7198  0.7500
K  0.3281  0.7802  0.2500
K  0.6719  0.2198  0.7500
K  0.6719  0.2802  0.2500
K  0.8865  0.6382  0.1086
K  0.8865  0.6382  0.3914
K  0.8865  0.8618  0.6086
K  0.8865  0.8618  0.8914
Zn  0.3879  0.0243  0.5817
Zn  0.3879  0.0243  0.9183
Zn  0.3879  0.4757  0.0817
Zn  0.3879  0.4757  0.4183
Zn  0.6121  0.5243  0.5817
Zn  0.6121  0.5243  0.9183
Zn  0.6121  0.9757  0.0817
Zn  0.6121  0.9757  0.4183
Sb  0.2037  0.0646  0.7500
Sb  0.2037  0.4354  0.2500
Sb  0.3968  0.7500  0.0000
Sb  0.3968  0.7500  0.5000
Sb  0.6032  0.2500  0.0000
Sb  0.6032  0.2500  0.5000
Sb  0.7963  0.5646  0.7500
Sb  0.7963  0.9354  0.2500

Peak list (8 most intense, 5 to 70 degrees two-theta, low angle first)
- d 6.647, 13.32°, I = 48
- d 5.129, 17.29°, I = 100
- d 4.891, 18.14°, I = 72
- d 3.145, 28.38°, I = 48
- d 3.018, 29.60°, I = 48
- d 2.912, 30.70°, I = 66
- d 2.657, 33.74°, I = 49
- d 2.633, 34.05°, I = 81

---

Record 4
For Rb3MnBr8, a structure optimized by DFT (PBE) gives the theoretical powder diffraction line list in this record (Cu Kα X-rays).

Crystal structure
a b c (Å): 8.5454 8.5454 8.5454
angles (deg): 120.22 120.22 89.63
Atoms (fractional coordinates):
Rb  0.0000  0.0000  0.0000
Rb  0.2500  0.7500  0.5000
Rb  0.7500  0.2500  0.5000
Mn  0.5000  0.5000  0.0000
Br  0.1590  0.1590  0.5655
Br  0.1590  0.5935  0.0000
Br  0.4065  0.4065  0.5655
Br  0.4065  0.8410  0.0000
Br  0.5935  0.1590  0.0000
Br  0.5935  0.5935  0.4345
Br  0.8410  0.4065  0.0000
Br  0.8410  0.8410  0.4345

Peak list (8 most intense, 5 to 70 degrees two-theta, low angle first)
- d 4.269, 20.81°, I = 72
- d 3.011, 29.67°, I = 78
- d 2.765, 32.38°, I = 16
- d 2.469, 36.38°, I = 100
- d 2.461, 36.50°, I = 23
- d 2.129, 42.45°, I = 22
- d 1.612, 57.13°, I = 39
- d 1.569, 58.86°, I = 15

---

Record 5
For Sr3Ga2N4, a structure optimized by DFT (PBE) gives the theoretical powder diffraction line list in this record (Cu Kα X-rays).

Crystal structure
a b c (Å): 5.9933 10.3647 9.6199
angles (deg): 90.00 90.00 90.00
Atoms (fractional coordinates):
Sr  0.1079  0.1540  0.0885
Sr  0.1079  0.3460  0.4115
Sr  0.2500  0.0000  0.4050
Sr  0.2500  0.5000  0.0950
Sr  0.3921  0.6540  0.4115
Sr  0.3921  0.8460  0.0885
Sr  0.6079  0.1540  0.9115
Sr  0.6079  0.3460  0.5885
Sr  0.7500  0.0000  0.5950
Sr  0.7500  0.5000  0.9050
Sr  0.8921  0.6540  0.5885
Sr  0.8921  0.8460  0.9115
Ga  0.1607  0.2500  0.7500
Ga  0.2500  0.0000  0.7305
Ga  0.2500  0.5000  0.7695
Ga  0.3393  0.7500  0.7500
Ga  0.6607  0.2500  0.2500
Ga  0.7500  0.0000  0.2695
Ga  0.7500  0.5000  0.2305
Ga  0.8393  0.7500  0.2500
N  0.0072  0.0961  0.8327
N  0.0072  0.4039  0.6673
N  0.1220  0.6462  0.8746
N  0.1220  0.8538  0.6254
N  0.3780  0.1462  0.6254
N  0.3780  0.3538  0.8746
N  0.4928  0.5961  0.6673
N  0.4928  0.9039  0.8327
N  0.5072  0.0961  0.1673
N  0.5072  0.4039  0.3327
N  0.6220  0.6462  0.1254
N  0.6220  0.8538  0.3746
N  0.8780  0.1462  0.3746
N  0.8780  0.3538  0.1254
N  0.9928  0.5961  0.3327
N  0.9928  0.9039  0.1673

Peak list (8 most intense, 5 to 70 degrees two-theta, low angle first)
- d 3.252, 27.43°, I = 66
- d 2.879, 31.07°, I = 37
- d 2.827, 31.65°, I = 100
- d 2.758, 32.46°, I = 23
- d 2.728, 32.83°, I = 49
- d 2.541, 35.32°, I = 52
- d 2.505, 35.85°, I = 35
- d 1.875, 48.56°, I = 21

---

Record 6
For Tb5Nd3Sm4, a structure optimized by DFT (PBE) gives the theoretical powder diffraction line list in this record (Cu Kα X-rays).

Crystal structure
a b c (Å): 6.2560 7.2247 8.8490
angles (deg): 90.04 90.09 90.14
Atoms (fractional coordinates):
Tb  0.0000  0.0000  0.0000
Tb  0.3346  0.4997  0.3320
Tb  0.4994  0.7500  0.9998
Tb  0.5006  0.2500  0.0002
Tb  0.6654  0.5003  0.6680
Nd  0.0000  0.5000  0.0000
Nd  0.1673  0.2503  0.6671
Nd  0.8327  0.7497  0.3329
Sm  0.1680  0.7501  0.6673
Sm  0.3326  0.0000  0.3316
Sm  0.6674  0.0000  0.6684
Sm  0.8320  0.2499  0.3327

Peak list (8 most intense, 5 to 70 degrees two-theta, low angle first)
- d 2.949, 30.30°, I = 100
- d 2.554, 35.13°, I = 51
- d 1.807, 50.52°, I = 30
- d 1.804, 50.60°, I = 6
- d 1.541, 60.04°, I = 32
- d 1.538, 60.15°, I = 11
- d 1.476, 63.00°, I = 6
- d 1.474, 63.07°, I = 6

---

Record 7
For CsPrCuI6, a structure optimized by DFT (PBE) gives the theoretical powder diffraction line list in this record (Cu Kα X-rays).

Crystal structure
a b c (Å): 7.5581 7.6768 8.4511
angles (deg): 94.03 96.66 111.54
Atoms (fractional coordinates):
Cs  0.0000  0.0000  0.0000
Pr  0.3983  0.6552  0.5094
Cu  0.7851  0.3495  0.4340
I  0.0396  0.5663  0.2415
I  0.0787  0.3044  0.6218
I  0.4439  0.9360  0.7983
I  0.4942  0.3932  0.2448
I  0.6431  0.9773  0.3173
I  0.7137  0.5333  0.6899

Peak list (8 most intense, 5 to 70 degrees two-theta, low angle first)
- d 8.331, 10.62°, I = 57
- d 5.759, 15.38°, I = 62
- d 5.098, 17.40°, I = 65
- d 4.049, 21.95°, I = 56
- d 3.539, 25.16°, I = 100
- d 3.520, 25.30°, I = 55
- d 3.282, 27.17°, I = 65
- d 2.740, 32.68°, I = 61

---

Record 8
For LaP12Os4, a structure optimized by DFT (PBE) gives the theoretical powder diffraction line list in this record (Cu Kα X-rays).

Crystal structure
a b c (Å): 7.0424 7.0424 7.0424
angles (deg): 109.47 109.47 109.47
Atoms (fractional coordinates):
La  0.0000  0.0000  0.0000
P  0.1438  0.3575  0.5013
P  0.1438  0.6425  0.7862
P  0.2138  0.8562  0.3575
P  0.3575  0.2138  0.8562
P  0.3575  0.5013  0.1438
P  0.4987  0.8562  0.6425
P  0.5013  0.1438  0.3575
P  0.6425  0.4987  0.8562
P  0.6425  0.7862  0.1438
P  0.7862  0.1438  0.6425
P  0.8562  0.3575  0.2138
P  0.8562  0.6425  0.4987
Os  0.0000  0.0000  0.5000
Os  0.0000  0.5000  0.0000
Os  0.5000  0.0000  0.0000
Os  0.5000  0.5000  0.5000

Peak list (8 most intense, 5 to 70 degrees two-theta, low angle first)
- d 4.066, 21.86°, I = 49
- d 2.875, 31.11°, I = 100
- d 2.572, 34.89°, I = 17
- d 2.347, 38.34°, I = 19
- d 2.173, 41.55°, I = 11
- d 2.033, 44.57°, I = 17
- d 1.818, 50.17°, I = 40
- d 1.660, 55.35°, I = 51

---

Record 9
For ErMgAuO4, a structure optimized by DFT (PBE) gives the theoretical powder diffraction line list in this record (Cu Kα X-rays).

Crystal structure
a b c (Å): 6.6720 6.6720 6.6720
angles (deg): 124.25 121.57 85.05
Atoms (fractional coordinates):
Er  0.0000  0.0000  0.0000
Er  0.5000  0.0000  0.5000
Mg  0.3952  0.6452  0.7500
Mg  0.6048  0.3548  0.2500
Au  0.0000  0.0000  0.5000
Au  0.0000  0.5000  0.0000
O  0.1967  0.2385  0.9582
O  0.2197  0.7615  0.4582
O  0.2993  0.2788  0.4795
O  0.2993  0.8198  0.0205
O  0.7007  0.1802  0.9795
O  0.7007  0.7212  0.5205
O  0.7803  0.2385  0.5418
O  0.8033  0.7615  0.0418

Peak list (8 most intense, 5 to 70 degrees two-theta, low angle first)
- d 5.430, 16.32°, I = 100
- d 5.268, 16.83°, I = 78
- d 2.928, 30.53°, I = 45
- d 2.715, 32.99°, I = 61
- d 2.705, 33.12°, I = 49
- d 2.634, 34.03°, I = 50
- d 2.253, 40.02°, I = 58
- d 1.661, 55.31°, I = 50

---

Record 10
For CuRe2Ni, a structure optimized by DFT (PBE) gives the theoretical powder diffraction line list in this record (Cu Kα X-rays).

Crystal structure
a b c (Å): 4.5849 4.5849 4.5849
angles (deg): 131.51 131.51 71.01
Atoms (fractional coordinates):
Cu  0.0000  0.0000  0.0000
Re  0.5000  0.5000  0.0000
Re  0.7500  0.2500  0.5000
Ni  0.2500  0.7500  0.5000

Peak list (8 most intense, 5 to 70 degrees two-theta, low angle first)
- d 3.362, 26.51°, I = 35
- d 2.168, 41.67°, I = 100
- d 2.076, 43.60°, I = 10
- d 1.883, 48.34°, I = 32
- d 1.866, 48.80°, I = 16
- d 1.643, 55.98°, I = 10
- d 1.395, 67.11°, I = 6
- d 1.388, 67.48°, I = 3